No. 1
The following is a theoretical X-ray powder pattern of Ga2CuSi. It was derived from a cell relaxed with GGA-PBE, using Cu Ka.
Kinematic intensities with the Lorentz-polarization factor, no thermal factor.

Largest 10 diffraction maxima, by angle, 2θ = 10–90°:
- 2θ = 22.15°, intensity 15.8
- 2θ = 32.54°, intensity 100.0
- 2θ = 45.64°, intensity 18.8
- 2θ = 46.16°, intensity 36.8
- 2θ = 49.58°, intensity 55.5
- 2θ = 63.43°, intensity 12.1
- 2θ = 66.93°, intensity 11.5
- 2θ = 73.13°, intensity 15.7
- 2θ = 81.58°, intensity 11.6
- 2θ = 81.96°, intensity 11.4

Cell and atoms:
abc: 8.4750 8.4750 8.4750
angles: 151.67 151.67 40.49
Fractional positions:
Ga 0.0927 0.6250 0.9677
Ga 0.3750 0.3427 0.4677
Ga 0.6573 0.1250 0.0323
Ga 0.8750 0.9073 0.5323
Cu 0.0000 0.0000 0.0000
Cu 0.7500 0.2500 0.5000
Si 0.2500 0.7500 0.5000
Si 0.5000 0.5000 0.0000


No. 2
The following is a theoretical X-ray powder pattern of CaInPb. It was derived from a cell relaxed with GGA-PBE, using Cu Ka.
Kinematic intensities with the Lorentz-polarization factor, no thermal factor.

Largest 10 diffraction maxima, by angle, 2θ = 10–90°:
- 2θ = 19.41°, intensity 46.9
- 2θ = 24.20°, intensity 22.1
- 2θ = 31.21°, intensity 100.0
- 2θ = 33.96°, intensity 83.8
- 2θ = 42.13°, intensity 32.4
- 2θ = 46.79°, intensity 32.7
- 2θ = 53.72°, intensity 26.4
- 2θ = 59.06°, intensity 32.6
- 2θ = 60.77°, intensity 15.4
- 2θ = 75.49°, intensity 19.7

Cell and atoms:
abc: 5.2800 5.2800 3.6779
angles: 90.00 90.00 120.00
Fractional positions:
Ca 0.0000 0.0000 0.0000
In 0.6667 0.3333 0.3844
Pb 0.3333 0.6667 0.6032


No. 3
The following is a theoretical X-ray powder pattern of Ba4Au3Br. It was derived from a cell relaxed with GGA-PBE, using Cu Ka.
Kinematic intensities with the Lorentz-polarization factor, no thermal factor.

Largest 10 diffraction maxima, by angle, 2θ = 10–90°:
- 2θ = 26.26°, intensity 100.0
- 2θ = 36.91°, intensity 13.5
- 2θ = 37.45°, intensity 52.3
- 2θ = 38.12°, intensity 12.6
- 2θ = 45.82°, intensity 14.5
- 2θ = 46.84°, intensity 13.9
- 2θ = 60.93°, intensity 12.3
- 2θ = 61.08°, intensity 12.3
- 2θ = 66.86°, intensity 9.2
- 2θ = 68.46°, intensity 9.1

Cell and atoms:
abc: 8.3680 8.3680 4.7209
angles: 90.00 90.00 108.81
Fractional positions:
Ba 0.2360 0.2360 0.5000
Ba 0.2418 0.7582 0.0000
Ba 0.7582 0.2418 0.0000
Ba 0.7640 0.7640 0.5000
Au 0.0000 0.0000 0.0000
Au 0.0000 0.5000 0.5000
Au 0.5000 0.0000 0.5000
Br 0.5000 0.5000 0.0000


No. 4
The following is a theoretical X-ray powder pattern of NbVSb4. It was derived from a cell relaxed with GGA-PBE, using Cu Ka.
Kinematic intensities with the Lorentz-polarization factor, no thermal factor.

Largest 10 diffraction maxima, by angle, 2θ = 10–90°:
- 2θ = 27.23°, intensity 9.5
- 2θ = 32.69°, intensity 100.0
- 2θ = 40.61°, intensity 31.8
- 2θ = 40.79°, intensity 14.5
- 2θ = 41.35°, intensity 10.7
- 2θ = 52.47°, intensity 8.4
- 2θ = 52.62°, intensity 16.3
- 2θ = 63.21°, intensity 9.8
- 2θ = 68.52°, intensity 8.9
- 2θ = 68.91°, intensity 8.9

Cell and atoms:
abc: 7.4072 7.4072 6.0192
angles: 113.76 113.76 27.24
Fractional positions:
Nb 0.0000 0.0000 0.0000
V 0.5000 0.5000 0.5000
Sb 0.1455 0.1455 0.4859
Sb 0.3520 0.3520 0.0272
Sb 0.6480 0.6480 0.9728
Sb 0.8545 0.8545 0.5141


No. 5
The following is a theoretical X-ray powder pattern of V4Ni12Mo. It was derived from a cell relaxed with GGA-PBE, using Cu Ka.
Kinematic intensities with the Lorentz-polarization factor, no thermal factor.

Largest 10 diffraction maxima, by angle, 2θ = 10–90°:
- 2θ = 23.81°, intensity 19.8
- 2θ = 38.07°, intensity 18.0
- 2θ = 41.87°, intensity 100.0
- 2θ = 45.40°, intensity 30.6
- 2θ = 48.73°, intensity 70.8
- 2θ = 51.90°, intensity 16.6
- 2θ = 57.87°, intensity 23.2
- 2θ = 71.39°, intensity 32.0
- 2θ = 86.34°, intensity 18.6
- 2θ = 88.78°, intensity 14.1

Cell and atoms:
abc: 6.4728 6.4728 6.4728
angles: 109.47 109.47 109.47
Fractional positions:
V 0.0000 0.0000 0.5000
V 0.0000 0.5000 0.0000
V 0.5000 0.0000 0.0000
V 0.5000 0.5000 0.5000
Ni 0.0000 0.3078 0.3078
Ni 0.0000 0.6922 0.6922
Ni 0.2500 0.5000 0.7500
Ni 0.2500 0.7500 0.5000
Ni 0.3078 0.0000 0.3078
Ni 0.3078 0.3078 0.0000
Ni 0.5000 0.2500 0.7500
Ni 0.5000 0.7500 0.2500
Ni 0.6922 0.0000 0.6922
Ni 0.6922 0.6922 0.0000
Ni 0.7500 0.2500 0.5000
Ni 0.7500 0.5000 0.2500
Mo 0.0000 0.0000 0.0000


No. 6
The following is a theoretical X-ray powder pattern of KCeInF6. It was derived from a cell relaxed with GGA-PBE, using Cu Ka.
Kinematic intensities with the Lorentz-polarization factor, no thermal factor.

Largest 10 diffraction maxima, by angle, 2θ = 10–90°:
- 2θ = 14.59°, intensity 20.3
- 2θ = 17.16°, intensity 31.7
- 2θ = 22.01°, intensity 100.0
- 2θ = 27.00°, intensity 84.1
- 2θ = 31.31°, intensity 25.0
- 2θ = 41.82°, intensity 75.0
- 2θ = 44.86°, intensity 29.2
- 2θ = 50.49°, intensity 33.9
- 2θ = 53.17°, intensity 24.1
- 2θ = 69.82°, intensity 17.5

Cell and atoms:
abc: 5.7116 5.7116 12.1393
angles: 90.00 90.00 90.00
Fractional positions:
K 0.0000 0.0000 0.0000
K 0.5000 0.5000 0.5000
Ce 0.0000 0.0000 0.6684
Ce 0.5000 0.5000 0.1684
In 0.0000 0.0000 0.3265
In 0.5000 0.5000 0.8265
F 0.1796 0.1796 0.8045
F 0.1814 0.1814 0.5366
F 0.2265 0.2265 0.1712
F 0.2735 0.7265 0.6712
F 0.3186 0.6814 0.0366
F 0.3204 0.6796 0.3045
F 0.6796 0.3204 0.3045
F 0.6814 0.3186 0.0366
F 0.7265 0.2735 0.6712
F 0.7735 0.7735 0.1712
F 0.8186 0.8186 0.5366
F 0.8204 0.8204 0.8045


No. 7
The following is a theoretical X-ray powder pattern of Y6Tm19Sc4. It was derived from a cell relaxed with GGA-PBE, using Cu Ka.
Kinematic intensities with the Lorentz-polarization factor, no thermal factor.

Largest 10 diffraction maxima, by angle, 2θ = 10–90°:
- 2θ = 27.37°, intensity 77.1
- 2θ = 29.30°, intensity 100.0
- 2θ = 31.12°, intensity 89.8
- 2θ = 36.09°, intensity 59.7
- 2θ = 37.62°, intensity 80.6
- 2θ = 41.92°, intensity 25.6
- 2θ = 48.38°, intensity 30.3
- 2θ = 53.12°, intensity 27.7
- 2θ = 55.38°, intensity 27.0
- 2θ = 61.82°, intensity 37.4

Cell and atoms:
abc: 10.5584 10.5584 10.5584
angles: 109.47 109.47 109.47
Fractional positions:
Y 0.1319 0.6319 0.5000
Y 0.3681 0.5000 0.8681
Y 0.5000 0.1319 0.6319
Y 0.5000 0.8681 0.3681
Y 0.6319 0.5000 0.1319
Y 0.8681 0.3681 0.5000
Tm 0.0000 0.0000 0.0000
Tm 0.0000 0.2583 0.2583
Tm 0.0000 0.7417 0.7417
Tm 0.0194 0.8099 0.3419
Tm 0.1901 0.2095 0.5320
Tm 0.2095 0.5320 0.1901
Tm 0.2583 0.0000 0.2583
Tm 0.2583 0.2583 0.0000
Tm 0.3225 0.7905 0.9806
Tm 0.3419 0.0194 0.8099
Tm 0.4680 0.6775 0.6580
Tm 0.5320 0.1901 0.2095
Tm 0.6580 0.4680 0.6775
Tm 0.6775 0.6580 0.4680
Tm 0.7417 0.0000 0.7417
Tm 0.7417 0.7417 0.0000
Tm 0.7905 0.9806 0.3225
Tm 0.8099 0.3419 0.0194
Tm 0.9806 0.3225 0.7905
Sc 0.0000 0.0000 0.6448
Sc 0.0000 0.6448 0.0000
Sc 0.3552 0.3552 0.3552
Sc 0.6448 0.0000 0.0000


No. 8
The following is a theoretical X-ray powder pattern of La2Sm3Dy6. It was derived from a cell relaxed with GGA-PBE, using Cu Ka.
Kinematic intensities with the Lorentz-polarization factor, no thermal factor.

Largest 10 diffraction maxima, by angle, 2θ = 10–90°:
- 2θ = 30.72°, intensity 100.0
- 2θ = 35.07°, intensity 17.5
- 2θ = 35.89°, intensity 33.1
- 2θ = 51.06°, intensity 24.0
- 2θ = 51.56°, intensity 6.3
- 2θ = 60.23°, intensity 14.8
- 2θ = 61.25°, intensity 13.9
- 2θ = 61.39°, intensity 14.0
- 2θ = 63.89°, intensity 6.1
- 2θ = 64.07°, intensity 6.2

Cell and atoms:
abc: 6.1595 6.1595 11.7674
angles: 94.44 94.44 119.38
Fractional positions:
La 0.1744 0.8256 0.0000
La 0.8256 0.1744 0.0000
Sm 0.0000 0.0000 0.5000
Sm 0.3360 0.6640 0.5000
Sm 0.6640 0.3360 0.5000
Dy 0.0747 0.4084 0.7460
Dy 0.2589 0.2589 0.2507
Dy 0.4084 0.0747 0.7460
Dy 0.5916 0.9253 0.2540
Dy 0.7411 0.7411 0.7493
Dy 0.9253 0.5916 0.2540


Repeat the fifth record exactly.
The following is a theoretical X-ray powder pattern of V4Ni12Mo. It was derived from a cell relaxed with GGA-PBE, using Cu Ka.
Kinematic intensities with the Lorentz-polarization factor, no thermal factor.

Largest 10 diffraction maxima, by angle, 2θ = 10–90°:
- 2θ = 23.81°, intensity 19.8
- 2θ = 38.07°, intensity 18.0
- 2θ = 41.87°, intensity 100.0
- 2θ = 45.40°, intensity 30.6
- 2θ = 48.73°, intensity 70.8
- 2θ = 51.90°, intensity 16.6
- 2θ = 57.87°, intensity 23.2
- 2θ = 71.39°, intensity 32.0
- 2θ = 86.34°, intensity 18.6
- 2θ = 88.78°, intensity 14.1

Cell and atoms:
abc: 6.4728 6.4728 6.4728
angles: 109.47 109.47 109.47
Fractional positions:
V 0.0000 0.0000 0.5000
V 0.0000 0.5000 0.0000
V 0.5000 0.0000 0.0000
V 0.5000 0.5000 0.5000
Ni 0.0000 0.3078 0.3078
Ni 0.0000 0.6922 0.6922
Ni 0.2500 0.5000 0.7500
Ni 0.2500 0.7500 0.5000
Ni 0.3078 0.0000 0.3078
Ni 0.3078 0.3078 0.0000
Ni 0.5000 0.2500 0.7500
Ni 0.5000 0.7500 0.2500
Ni 0.6922 0.0000 0.6922
Ni 0.6922 0.6922 0.0000
Ni 0.7500 0.2500 0.5000
Ni 0.7500 0.5000 0.2500
Mo 0.0000 0.0000 0.0000